1.
This entry pairs a crystal structure of MgPH6NO5 with its theoretical powder XRD pattern. Radiation: Cu Kα (λ = 1.5418 Å). Structure: a structure optimized by DFT (GGA-PBE).
Peak positions follow from Bragg's law for the DFT cell and can differ from measured ones.

Cell and atoms:
a = 6.8965 Å, b = 10.0777 Å, c = 5.4058 Å
α = 90.00°, β = 90.00°, γ = 90.00°
Space group Pmn2_1 (No. 31)
Unique sites:
Mg 0.0000 0.1064 0.0000 x2
P 0.0000 0.2340 0.5799 x2
H 0.0000 0.4339 0.7482 x2
H 0.0000 0.4845 0.2462 x2
H 0.0544 0.6999 0.5682 x4
H 0.1189 0.8678 0.1156 x4
N 0.0000 0.4909 0.0527 x2
O 0.0000 0.1969 0.3088 x2
O 0.0000 0.3928 0.5791 x2
O 0.0000 0.9137 0.0483 x2
O 0.1761 0.1813 0.7314 x4

Most intense lines, 10 to 90 degrees two-theta, in order of falling intensity:
two_theta	I (rel.)
15.57	1000
18.63	339
27.44	309
25.84	284
26.53	135
22.69	117
50.08	95
42.49	94



2.
This entry pairs a crystal structure of NaMgH with its theoretical powder XRD pattern. Radiation: Cu Kα (λ = 1.5418 Å). Structure: a structure optimized by DFT (GGA-PBE).
Peak positions follow from Bragg's law for the DFT cell and can differ from measured ones.

Cell and atoms:
a = 10.3569 Å, b = 10.3569 Å, c = 8.5587 Å
α = 90.00°, β = 90.00°, γ = 90.00°
Space group I4_1/a (No. 88, origin choice 2)
Unique sites:
Na 0.1167 0.0997 0.2263 x16
Mg 0.1102 0.3760 0.4768 x16
H 0.0001 0.0487 0.6338 x16

Most intense lines, 10 to 90 degrees two-theta, in order of falling intensity:
two_theta	I (rel.)
32.17	1000
34.64	396
60.54	216
55.73	138
49.80	122
32.89	90
42.24	88
67.31	61